For Rb2SBrCl6, DFT lattice parameters and positions (GGA-PBE) gives the theoretical powder diffractogram in this record (Cu Kα, 1.54184 Å).

Structure:
Lattice parameters (Å, degrees): 7.5484 7.5484 7.5484 60.00 60.00 60.00
Atoms (fractional coordinates):
1 Rb 0.2500 0.2500 0.2500
2 Rb 0.7500 0.7500 0.7500
3 S 0.0000 0.0000 0.0000
4 Br 0.5000 0.5000 0.5000
5 Cl 0.2189 0.2189 0.7811
6 Cl 0.2189 0.7811 0.2189
7 Cl 0.2189 0.7811 0.7811
8 Cl 0.7811 0.2189 0.2189
9 Cl 0.7811 0.2189 0.7811
10 Cl 0.7811 0.7811 0.2189

Main lines, by angle (2θ from 10° to 90°):
2θ (°)	I (rel.)
23.57	100
28.97	52
33.58	91
41.44	37
48.22	55
54.35	27
65.43	26
80.47	19

***

For SrBrCl, DFT lattice parameters and positions (GGA-PBE) gives the theoretical powder diffractogram in this record (Cu Kα, 1.54184 Å).

Structure:
Lattice parameters (Å, degrees): 7.7322 4.8346 10.0732 90.00 90.00 90.00
Atoms (fractional coordinates):
1 Sr 0.2267 0.2500 0.0818
2 Sr 0.2733 0.7500 0.5818
3 Sr 0.7267 0.2500 0.4182
4 Sr 0.7733 0.7500 0.9182
5 Br 0.1363 0.2500 0.3962
6 Br 0.3637 0.7500 0.8962
7 Br 0.6363 0.2500 0.1038
8 Br 0.8637 0.7500 0.6038
9 Cl 0.0155 0.7500 0.1413
10 Cl 0.4845 0.2500 0.6413
11 Cl 0.5155 0.7500 0.3587
12 Cl 0.9845 0.2500 0.8587

Main lines, by angle (2θ from 10° to 90°):
2θ (°)	I (rel.)
20.38	60
28.07	80
29.59	58
30.92	61
32.47	100
37.19	66
40.16	63
40.67	60